Record 1
The following is a theoretical powder diffraction line list of TmBi3O6. It was derived from a DFT-relaxed cell (PBE, Alexandria), using CuKα.

Largest 8 diffraction maxima, in order of falling intensity, 2θ = 10–90°:
2θ 29.44, rel. 100
2θ 29.63, rel. 99
2θ 28.21, rel. 54
2θ 30.63, rel. 44
2θ 42.12, rel. 40
2θ 53.60, rel. 24
2θ 51.71, rel. 23
2θ 53.94, rel. 22

Cell and atoms:
```
TmBi3O6
1.0
5.8386 0.0000 0.0000
0.0000 6.3266 0.0000
-5.7677 0.0000 8.5275
Tm Bi O
2 6 12
Direct
0.0000 0.0000 0.0000 Tm
0.0000 0.5000 0.5000 Tm
0.2656 0.0329 0.7540 Bi
0.2656 0.4671 0.2540 Bi
0.5000 0.0000 0.5000 Bi
0.5000 0.5000 0.0000 Bi
0.7344 0.5329 0.7460 Bi
0.7344 0.9671 0.2460 Bi
0.0906 0.0621 0.2410 O
0.0906 0.4379 0.7410 O
0.2289 0.6902 0.0744 O
0.2289 0.8098 0.5744 O
0.3911 0.1684 0.0626 O
0.3911 0.3316 0.5626 O
0.6089 0.6684 0.4374 O
0.6089 0.8316 0.9374 O
0.7711 0.1902 0.4256 O
0.7711 0.3098 0.9256 O
0.9094 0.5621 0.2590 O
0.9094 0.9379 0.7590 O
```

Record 2
The following is a theoretical powder diffraction line list of Tm2Bi2O7. It was derived from a DFT-relaxed cell (PBE, Alexandria), using CuKα.

Largest 8 diffraction maxima, in order of falling intensity, 2θ = 10–90°:
2θ 27.68, rel. 100
2θ 32.92, rel. 48
2θ 28.14, rel. 45
2θ 31.05, rel. 41
2θ 49.80, rel. 37
2θ 45.95, rel. 31
2θ 55.37, rel. 22
2θ 33.82, rel. 22

Cell and atoms:
```
Tm2Bi2O7
1.0
3.6852 -4.0592 0.0000
3.6852 4.0592 0.0000
-0.5457 0.0000 5.3009
Tm Bi O
2 2 7
Direct
0.2326 0.7674 0.0000 Tm
0.7674 0.2326 0.0000 Tm
0.2282 0.2282 0.5091 Bi
0.7346 0.7346 0.5282 Bi
0.0155 0.0155 0.7561 O
0.0986 0.4865 0.2728 O
0.4483 0.4483 0.7940 O
0.4865 0.0986 0.2728 O
0.5240 0.9420 0.7824 O
0.9420 0.5240 0.7824 O
0.9779 0.9779 0.2497 O
```

Record 3
The following is a theoretical powder diffraction line list of TmUBiO6. It was derived from a DFT-relaxed cell (PBE, Alexandria), using CuKα.

Largest 8 diffraction maxima, in order of falling intensity, 2θ = 10–90°:
2θ 25.69, rel. 100
2θ 30.93, rel. 58
2θ 49.31, rel. 44
2θ 51.92, rel. 30
2θ 40.63, rel. 30
2θ 55.02, rel. 18
2θ 70.59, rel. 13
2θ 76.98, rel. 12

Cell and atoms:
```
TmUBiO6
1.0
5.7819 0.0000 0.0000
-2.8910 5.0073 0.0000
0.0000 0.0000 9.6126
Tm U Bi O
2 2 2 12
Direct
0.3333 0.6667 0.2500 Tm
0.6667 0.3333 0.7500 Tm
0.3333 0.6667 0.7500 U
0.6667 0.3333 0.2500 U
0.0000 0.0000 0.0000 Bi
0.0000 0.0000 0.5000 Bi
0.0180 0.3610 0.6369 O
0.0180 0.6570 0.8631 O
0.3430 0.3610 0.8631 O
0.3430 0.9820 0.6369 O
0.3610 0.0180 0.1369 O
0.3610 0.3430 0.3631 O
0.6390 0.6570 0.6369 O
0.6390 0.9820 0.8631 O
0.6570 0.0180 0.3631 O
0.6570 0.6390 0.1369 O
0.9820 0.3430 0.1369 O
0.9820 0.6390 0.3631 O
```

Record 4
The following is a theoretical powder diffraction line list of YTmBiO2. It was derived from a DFT-relaxed cell (PBE, Alexandria), using CuKα.

Largest 8 diffraction maxima, in order of falling intensity, 2θ = 10–90°:
2θ 30.47, rel. 100
2θ 32.75, rel. 36
2θ 57.05, rel. 34
2θ 52.67, rel. 25
2θ 47.00, rel. 17
2θ 85.72, rel. 11
2θ 63.42, rel. 11
2θ 66.88, rel. 11

Cell and atoms:
```
YTmBiO2
1.0
3.8669 0.0000 0.0000
0.0000 3.8669 0.0000
0.0000 0.0000 13.5060
Y Tm Bi O
2 2 2 4
Direct
0.0000 0.0000 0.0000 Y
0.5000 0.5000 0.5000 Y
0.0000 0.0000 0.6619 Tm
0.5000 0.5000 0.1619 Tm
0.0000 0.0000 0.3309 Bi
0.5000 0.5000 0.8309 Bi
0.0000 0.5000 0.0844 O
0.0000 0.5000 0.5844 O
0.5000 0.0000 0.0844 O
0.5000 0.0000 0.5844 O
```

Record 5
The following is a theoretical powder diffraction line list of UBiO5. It was derived from a DFT-relaxed cell (PBE, Alexandria), using CuKα.

Largest 8 diffraction maxima, in order of falling intensity, 2θ = 10–90°:
2θ 28.33, rel. 100
2θ 16.96, rel. 61
2θ 27.90, rel. 48
2θ 21.82, rel. 47
2θ 29.24, rel. 42
2θ 23.19, rel. 40
2θ 20.18, rel. 40
2θ 27.76, rel. 39

Cell and atoms:
```
UBiO5
1.0
7.4649 0.0000 0.0000
0.0000 8.1480 0.0000
-7.1094 0.0000 7.6725
U Bi O
4 4 20
Direct
0.1584 0.0090 0.3175 U
0.1584 0.4910 0.8175 U
0.8416 0.5090 0.1825 U
0.8416 0.9910 0.6825 U
0.4364 0.1201 0.8289 Bi
0.4364 0.3799 0.3289 Bi
0.5636 0.6201 0.6711 Bi
0.5636 0.8799 0.1711 Bi
0.0637 0.2345 0.7064 O
0.0637 0.2655 0.2064 O
0.1450 0.0895 0.4770 O
0.1450 0.4105 0.9770 O
0.2079 0.5800 0.6796 O
0.2079 0.9200 0.1796 O
0.2611 0.5114 0.4036 O
0.2611 0.9886 0.9036 O
0.4739 0.6482 0.0398 O
0.4739 0.8518 0.5398 O
0.5261 0.1482 0.4602 O
0.5261 0.3518 0.9602 O
0.7389 0.0114 0.0964 O
0.7389 0.4886 0.5964 O
0.7921 0.0800 0.8204 O
0.7921 0.4200 0.3204 O
0.8550 0.5895 0.0230 O
0.8550 0.9105 0.5230 O
0.9363 0.7345 0.7936 O
0.9363 0.7655 0.2936 O
```

Record 6
The following is a theoretical powder diffraction line list of U2Bi2O7. It was derived from a DFT-relaxed cell (PBE, Alexandria), using CuKα.

Largest 8 diffraction maxima, in order of falling intensity, 2θ = 10–90°:
2θ 28.26, rel. 100
2θ 46.71, rel. 32
2θ 33.14, rel. 25
2θ 54.73, rel. 16
2θ 56.18, rel. 16
2θ 56.33, rel. 15
2θ 31.97, rel. 14
2θ 47.46, rel. 8

Cell and atoms:
```
U2Bi2O7
1.0
7.6633 0.0000 0.0000
0.0000 3.8150 0.0000
0.0000 0.0000 11.1988
U Bi O
4 4 14
Direct
0.0000 0.0000 0.0000 U
0.2500 0.5000 0.2466 U
0.5000 0.0000 0.0000 U
0.7500 0.5000 0.7534 U
0.0000 0.0000 0.5000 Bi
0.2500 0.5000 0.7374 Bi
0.5000 0.0000 0.5000 Bi
0.7500 0.5000 0.2626 Bi
0.0114 0.5000 0.3668 O
0.0169 0.5000 0.1181 O
0.2500 0.0000 0.1290 O
0.2500 0.0000 0.3547 O
0.2500 0.0000 0.9005 O
0.4831 0.5000 0.1181 O
0.4886 0.5000 0.3668 O
0.5114 0.5000 0.6332 O
0.5169 0.5000 0.8819 O
0.7500 0.0000 0.0995 O
0.7500 0.0000 0.6453 O
0.7500 0.0000 0.8710 O
0.9831 0.5000 0.8819 O
0.9886 0.5000 0.6332 O
```

Repeat the third record exactly.
The following is a theoretical powder diffraction line list of TmUBiO6. It was derived from a DFT-relaxed cell (PBE, Alexandria), using CuKα.

Largest 8 diffraction maxima, in order of falling intensity, 2θ = 10–90°:
2θ 25.69, rel. 100
2θ 30.93, rel. 58
2θ 49.31, rel. 44
2θ 51.92, rel. 30
2θ 40.63, rel. 30
2θ 55.02, rel. 18
2θ 70.59, rel. 13
2θ 76.98, rel. 12

Cell and atoms:
```
TmUBiO6
1.0
5.7819 0.0000 0.0000
-2.8910 5.0073 0.0000
0.0000 0.0000 9.6126
Tm U Bi O
2 2 2 12
Direct
0.3333 0.6667 0.2500 Tm
0.6667 0.3333 0.7500 Tm
0.3333 0.6667 0.7500 U
0.6667 0.3333 0.2500 U
0.0000 0.0000 0.0000 Bi
0.0000 0.0000 0.5000 Bi
0.0180 0.3610 0.6369 O
0.0180 0.6570 0.8631 O
0.3430 0.3610 0.8631 O
0.3430 0.9820 0.6369 O
0.3610 0.0180 0.1369 O
0.3610 0.3430 0.3631 O
0.6390 0.6570 0.6369 O
0.6390 0.9820 0.8631 O
0.6570 0.0180 0.3631 O
0.6570 0.6390 0.1369 O
0.9820 0.3430 0.1369 O
0.9820 0.6390 0.3631 O
```